Entry 1:
The following is a calculated XRD peak list of Li3Si2BiO7. It was derived from the PBE geometry in Alexandria, using Cu Kα (λ = 1.5418 Å).

```
data_Li3Si2BiO7
_chemical_formula_sum 'Li12 Si8 Bi4 O28'
_space_group_name_H-M_alt 'P n m a'
_space_group_IT_number 62
_space_group_name_Hall '-P 2ac 2n'
_cell_length_a 9.650
_cell_length_b 13.188
_cell_length_c 5.065
_cell_angle_alpha 90.00
_cell_angle_beta 90.00
_cell_angle_gamma 90.00
loop_
_atom_site_label
_atom_site_fract_x
_atom_site_fract_y
_atom_site_fract_z
_atom_site_occupancy
Li1 0.020 0.250 0.031 1
Li2 0.187 0.590 0.551 1
Si1 0.190 0.140 0.523 1
Bi1 0.000 0.000 0.000 1
O1 0.120 0.250 0.411 1
O2 0.124 0.040 0.381 1
O3 0.145 0.641 0.934 1
O4 0.157 0.134 0.841 1
```

Main lines, by intensity (10° ≤ 2θ ≤ 80°):
| 2theta | d_spacing | intensity |
| --- | --- | --- |
| 24.00 | 3.708 | 100 |
| 13.43 | 6.594 | 96 |
| 32.94 | 2.719 | 86 |
| 19.79 | 4.485 | 73 |
| 22.84 | 3.894 | 66 |
| 35.76 | 2.511 | 43 |

Entry 2:
The following is a calculated XRD peak list of SrLi3Pd2. It was derived from the PBE geometry in Alexandria, using Cu Kα (λ = 1.5418 Å).

```
data_SrLi3Pd2
_chemical_formula_sum 'Sr4 Li12 Pd8'
_space_group_name_H-M_alt 'C 1 2/m 1'
_space_group_IT_number 12
_space_group_name_Hall '-C 2y'
_cell_length_a 15.314
_cell_length_b 4.269
_cell_length_c 8.079
_cell_angle_alpha 90.00
_cell_angle_beta 115.57
_cell_angle_gamma 90.00
loop_
_atom_site_label
_atom_site_fract_x
_atom_site_fract_y
_atom_site_fract_z
_atom_site_occupancy
Sr1 0.145 0.000 0.055 1
Li1 0.046 0.000 0.377 1
Li2 0.090 0.500 0.667 1
Li3 0.190 0.500 0.469 1
Pd1 0.027 0.500 0.181 1
Pd2 0.194 0.000 0.697 1
```

Main lines, by intensity (10° ≤ 2θ ≤ 80°):
| 2theta | d_spacing | intensity |
| --- | --- | --- |
| 28.51 | 3.131 | 100 |
| 40.74 | 2.215 | 43 |
| 30.75 | 2.908 | 36 |
| 12.15 | 7.287 | 34 |
| 37.68 | 2.388 | 25 |
| 42.34 | 2.135 | 25 |